MnCdIO2: computed X-ray diffraction stick pattern (λ = 1.5418 Å (Cu Kα)), based on DFT lattice parameters and positions (PBE+U).

Most intense lines, 2θ = 10–90°, by angle:
d (Å)	2θ (°)	intensity
2.861	31.26	100.0
2.822	31.71	26.3
2.765	32.38	24.8
1.975	45.95	28.1
1.637	56.20	18.1
1.614	57.05	17.2

Crystal structure
```
10
Lattice="2.822 -6.224 0.000 2.822 6.224 0.000 0.000 0.000 5.530" Properties=species:S:1:pos:R:3 pbc="T T T"
Mn 2.822 5.992 4.148
Mn 2.822 -5.992 1.383
Cd 2.822 1.269 4.148
Cd 2.822 -1.269 1.383
I 2.822 3.031 1.383
I 2.822 -3.031 4.148
O 1.315 0.000 0.000
O 1.315 0.000 2.765
O 4.329 0.000 0.000
O 4.329 0.000 2.765
```